Record 1
The following is a computed XRD peak list of Rb2In3. It was derived from a structure optimized by DFT (GGA-PBE), using Cu Kα (λ = 1.5418 Å).
Lines closer than 0.1° are merged.

Crystal structure
```
Rb2In3
1.0
-3.507 3.507 8.074
3.507 -3.507 8.074
3.507 3.507 -8.074
Rb In
4 6
Direct
0.110 0.110 0.000
0.250 0.750 0.500
0.750 0.250 0.500
0.890 0.890 0.000
0.204 0.500 0.704
0.353 0.353 0.000
0.500 0.204 0.704
0.500 0.796 0.296
0.647 0.647 0.000
0.796 0.500 0.296
```

Peak list (6 most intense, 10° ≤ 2θ ≤ 80°, sorted by position)
- 2θ 10.96, rel. 35
- 2θ 13.76, rel. 38
- 2θ 25.40, rel. 58
- 2θ 28.51, rel. 100
- 2θ 33.05, rel. 48
- 2θ 37.96, rel. 39

=====

Record 2
The following is a computed XRD peak list of Rb3In. It was derived from a structure optimized by DFT (GGA-PBE), using Cu Kα (λ = 1.5418 Å).
Lines closer than 0.1° are merged.

Crystal structure
```
Rb3In
1.0
6.189 0.000 0.000
0.000 6.189 0.000
0.000 0.000 6.189
Rb In
3 1
Direct
0.000 0.000 0.500
0.000 0.500 0.000
0.500 0.000 0.000
0.500 0.500 0.500
```

Peak list (6 most intense, 10° ≤ 2θ ≤ 80°, sorted by position)
- 2θ 24.92, rel. 100
- 2θ 28.85, rel. 52
- 2θ 41.26, rel. 38
- 2θ 48.80, rel. 47
- 2θ 65.77, rel. 19
- 2θ 67.71, rel. 17

=====

Record 3
The following is a computed XRD peak list of Rb3In. It was derived from a structure optimized by DFT (GGA-PBE), using Cu Kα (λ = 1.5418 Å).
Lines closer than 0.1° are merged.

Crystal structure
```
Rb3In
1.0
6.319 0.000 0.000
0.000 6.319 0.000
0.000 0.000 11.757
Rb In
6 2
Direct
0.000 0.000 0.000
0.000 0.500 0.250
0.000 0.500 0.750
0.500 0.000 0.250
0.500 0.000 0.750
0.500 0.500 0.500
0.000 0.000 0.500
0.500 0.500 0.000
```

Peak list (6 most intense, 10° ≤ 2θ ≤ 80°, sorted by position)
- 2θ 25.03, rel. 100
- 2θ 28.24, rel. 37
- 2θ 30.41, rel. 15
- 2θ 41.98, rel. 25
- 2θ 48.09, rel. 33
- 2θ 50.88, rel. 14